Diffraction record for Ca3SiRh2. The X-ray powder pattern is simulated, not measured: it uses a PBE-relaxed structure and Cu Kα (weighted mean of Kα1 and Kα2).

Cell and atoms:
abc: 15.919 3.737 4.805
angles: 90.00 107.48 90.00
Atoms (fractional coordinates):
1 Ca 0.000 0.000 0.000
2 Ca 0.186 0.500 0.186
3 Ca 0.314 0.000 0.814
4 Ca 0.500 0.500 0.000
5 Ca 0.686 0.000 0.186
6 Ca 0.814 0.500 0.814
7 Si 0.000 0.500 0.500
8 Si 0.500 0.000 0.500
9 Rh 0.102 0.000 0.602
10 Rh 0.398 0.500 0.398
11 Rh 0.602 0.500 0.602
12 Rh 0.898 0.000 0.398

Top 6 peaks for 5° ≤ 2θ ≤ 70°, sorted by position:
2θ/deg	intensity
19.4	72
24.5	60
30.3	79
35.0	96
38.2	62
38.7	100

Diffraction record for NaLaNb2O6. The X-ray powder pattern is simulated, not measured: it uses a PBE-relaxed structure and Cu Kα (weighted mean of Kα1 and Kα2).

Cell and atoms:
abc: 5.733 5.733 5.733
angles: 60.00 60.00 60.00
Atoms (fractional coordinates):
1 Na 0.000 0.000 0.000
2 La 0.500 0.500 0.500
3 Nb 0.250 0.250 0.250
4 Nb 0.750 0.750 0.750
5 O 0.000 0.000 0.500
6 O 0.000 0.500 0.000
7 O 0.000 0.500 0.500
8 O 0.500 0.000 0.000
9 O 0.500 0.000 0.500
10 O 0.500 0.500 0.000

Top 6 peaks for 5° ≤ 2θ ≤ 70°, sorted by position:
2θ/deg	intensity
19.0	28
31.2	100
36.8	16
44.7	36
55.5	39
65.1	21

Diffraction record for La4SmHo10. The X-ray powder pattern is simulated, not measured: it uses a PBE-relaxed structure and Cu Kα (weighted mean of Kα1 and Kα2).

Cell and atoms:
abc: 8.739 8.739 8.739
angles: 112.19 112.19 104.15
Atoms (fractional coordinates):
1 La 0.065 0.665 0.730
2 La 0.335 0.065 0.400
3 La 0.665 0.935 0.600
4 La 0.935 0.335 0.270
5 Sm 0.000 0.000 0.000
6 Ho 0.132 0.226 0.676
7 Ho 0.226 0.549 0.094
8 Ho 0.250 0.750 0.500
9 Ho 0.451 0.544 0.676
10 Ho 0.456 0.132 0.906
11 Ho 0.544 0.868 0.094
12 Ho 0.549 0.456 0.324
13 Ho 0.750 0.250 0.500
14 Ho 0.774 0.451 0.906
15 Ho 0.868 0.774 0.324

Top 6 peaks for 5° ≤ 2θ ≤ 70°, sorted by position:
2θ/deg	intensity
26.5	83
28.7	75
29.0	100
32.4	80
33.5	82
34.2	42

Diffraction record for Ce3DySc3Se8. The X-ray powder pattern is simulated, not measured: it uses a PBE-relaxed structure and Cu Kα (weighted mean of Kα1 and Kα2).

Cell and atoms:
abc: 8.151 8.151 8.151
angles: 58.78 58.78 58.78
Atoms (fractional coordinates):
1 Ce 0.000 0.500 0.500
2 Ce 0.500 0.000 0.500
3 Ce 0.500 0.500 0.000
4 Dy 0.500 0.500 0.500
5 Sc 0.000 0.000 0.500
6 Sc 0.000 0.500 0.000
7 Sc 0.500 0.000 0.000
8 Se 0.230 0.753 0.753
9 Se 0.241 0.241 0.241
10 Se 0.247 0.247 0.770
11 Se 0.247 0.770 0.247
12 Se 0.753 0.230 0.753
13 Se 0.753 0.753 0.230
14 Se 0.759 0.759 0.759
15 Se 0.770 0.247 0.247

Top 6 peaks for 5° ≤ 2θ ≤ 70°, sorted by position:
2θ/deg	intensity
13.5	19
25.9	13
31.3	100
44.5	36
45.3	35
56.2	18

Diffraction record for Cs5K2Hg12. The X-ray powder pattern is simulated, not measured: it uses a PBE-relaxed structure and Cu Kα (weighted mean of Kα1 and Kα2).

Cell and atoms:
abc: 11.433 11.433 9.023
angles: 103.14 103.14 44.80
Atoms (fractional coordinates):
1 Cs 0.000 0.000 0.000
2 Cs 0.223 0.223 0.899
3 Cs 0.306 0.306 0.426
4 Cs 0.694 0.694 0.574
5 Cs 0.777 0.777 0.101
6 K 0.253 0.747 0.500
7 K 0.747 0.253 0.500
8 Hg 0.103 0.613 0.784
9 Hg 0.131 0.131 0.466
10 Hg 0.221 0.574 0.129
11 Hg 0.387 0.897 0.216
12 Hg 0.426 0.779 0.871
13 Hg 0.467 0.467 0.809
14 Hg 0.533 0.533 0.191
15 Hg 0.574 0.221 0.129
16 Hg 0.613 0.103 0.784
17 Hg 0.779 0.426 0.871
18 Hg 0.869 0.869 0.534
19 Hg 0.897 0.387 0.216

Top 6 peaks for 5° ≤ 2θ ≤ 70°, sorted by position:
2θ/deg	intensity
17.3	31
24.1	29
26.9	34
27.2	100
28.1	39
38.0	36

Diffraction record for Pm2NdHoS6. The X-ray powder pattern is simulated, not measured: it uses a PBE-relaxed structure and Cu Kα (weighted mean of Kα1 and Kα2).

Cell and atoms:
abc: 7.474 7.474 7.474
angles: 56.62 56.62 56.62
Atoms (fractional coordinates):
1 Pm 0.000 0.000 0.000
2 Pm 0.497 0.497 0.497
3 Nd 0.206 0.206 0.206
4 Ho 0.702 0.702 0.702
5 S 0.088 0.411 0.807
6 S 0.311 0.895 0.604
7 S 0.411 0.807 0.088
8 S 0.604 0.311 0.895
9 S 0.807 0.088 0.411
10 S 0.895 0.604 0.311

Top 6 peaks for 5° ≤ 2θ ≤ 70°, sorted by position:
2θ/deg	intensity
23.9	100
25.1	97
34.9	50
38.4	74
43.5	50
44.3	49

Diffraction record for Co10GeB3. The X-ray powder pattern is simulated, not measured: it uses a PBE-relaxed structure and Cu Kα (weighted mean of Kα1 and Kα2).

Cell and atoms:
abc: 7.353 7.353 7.353
angles: 60.00 60.00 60.00
Atoms (fractional coordinates):
1 Co 0.000 0.000 0.333
2 Co 0.000 0.000 0.667
3 Co 0.000 0.333 0.000
4 Co 0.000 0.333 0.667
5 Co 0.000 0.667 0.000
6 Co 0.000 0.667 0.333
7 Co 0.142 0.619 0.619
8 Co 0.333 0.000 0.000
9 Co 0.333 0.000 0.667
10 Co 0.333 0.667 0.000
11 Co 0.381 0.381 0.381
12 Co 0.381 0.381 0.858
13 Co 0.381 0.858 0.381
14 Co 0.619 0.142 0.619
15 Co 0.619 0.619 0.142
16 Co 0.619 0.619 0.619
17 Co 0.667 0.000 0.000
18 Co 0.667 0.000 0.333
19 Co 0.667 0.333 0.000
20 Co 0.858 0.381 0.381
21 Ge 0.250 0.250 0.250
22 Ge 0.750 0.750 0.750
23 B 0.278 0.278 0.722
24 B 0.278 0.722 0.278
25 B 0.278 0.722 0.722
26 B 0.722 0.278 0.278
27 B 0.722 0.278 0.722
28 B 0.722 0.722 0.278

Top 6 peaks for 5° ≤ 2θ ≤ 70°, sorted by position:
2θ/deg	intensity
38.7	50
42.6	30
45.3	100
49.6	22
52.0	45
58.9	15

Diffraction record for Nd3SmHo5. The X-ray powder pattern is simulated, not measured: it uses a PBE-relaxed structure and Cu Kα (weighted mean of Kα1 and Kα2).

Cell and atoms:
abc: 9.725 9.725 11.481
angles: 110.84 110.84 38.21
Atoms (fractional coordinates):
1 Nd 0.000 0.000 0.000
2 Nd 0.000 0.000 0.500
3 Nd 0.015 0.642 0.628
4 Nd 0.358 0.985 0.872
5 Nd 0.642 0.015 0.128
6 Nd 0.985 0.358 0.372
7 Sm 0.408 0.592 0.750
8 Sm 0.592 0.408 0.250
9 Ho 0.117 0.883 0.250
10 Ho 0.121 0.541 0.287
11 Ho 0.144 0.534 0.985
12 Ho 0.459 0.879 0.213
13 Ho 0.466 0.856 0.515
14 Ho 0.534 0.144 0.485
15 Ho 0.541 0.121 0.787
16 Ho 0.856 0.466 0.015
17 Ho 0.879 0.459 0.713
18 Ho 0.883 0.117 0.750

Top 6 peaks for 5° ≤ 2θ ≤ 70°, sorted by position:
2θ/deg	intensity
30.0	43
31.0	79
31.5	100
32.0	77
32.2	58
34.3	36